For Rb2FeSbO4, DFT lattice parameters and positions (GGA+U) gives the computed X-ray diffraction stick pattern in this record (Cu Ka).
Kinematic intensities with the Lorentz-polarization factor, no thermal factor.

Structural model:
abc: 8.312 7.630 5.970
angles: 90.00 127.04 90.00
Space group C2 (No. 5)
Inequivalent atoms, fractional coordinates:
Rb  0.000  0.000  0.000 [2 per cell]
Rb  0.000  0.260  0.500 [2 per cell]
Fe  0.000  0.475  0.000 [2 per cell]
Sb  0.000  0.774  0.500 [2 per cell]
O  0.097  0.605  0.346 [4 per cell]
O  0.207  0.320  0.087 [4 per cell]

The 12 most intense peaks (2θ = 5–70°), in order of falling intensity:
2θ = 31.9°, intensity 100, (2 2 -1)
2θ = 30.0°, intensity 92, (0 2 1)
2θ = 26.9°, intensity 67, (2 0 0)
2θ = 30.3°, intensity 45, (2 0 -2)
2θ = 37.8°, intensity 30, (0 0 2)
2θ = 48.1°, intensity 29, (2 2 1)
2θ = 52.0°, intensity 23, (4 2 -1)
2θ = 52.3°, intensity 21, (2 2 -3)
2θ = 56.0°, intensity 19, (4 2 -3)
2θ = 43.9°, intensity 16, (4 0 -2)
2θ = 57.5°, intensity 16, (2 4 -2)
2θ = 55.6°, intensity 15, (2 4 0)